Calculated PXRD pattern
Compound: Lu2S3
Radiation: Cu Kα, 1.54184 Å
Structure: a crystal structure in the Materials Project, relaxed with GGA-PBE
No peak broadening, texture or thermal motion is included.

Most intense lines, 15° ≤ 2θ ≤ 90°, by angle:
d_spacing  I/Imax
4.915  44
3.591  92
3.371  100
2.458  42
2.256  86
1.986  42
1.946  46
1.739  22
1.474  22
1.175  20

Structural model:
Lattice parameters (Å, degrees): 7.213 7.213 7.213 55.71 55.71 55.71
Fractional positions:
Lu1 0.151 0.151 0.151
Lu2 0.349 0.349 0.349
Lu3 0.651 0.651 0.651
Lu4 0.849 0.849 0.849
S1 0.053 0.750 0.447
S2 0.250 0.553 0.947
S3 0.447 0.053 0.750
S4 0.553 0.947 0.250
S5 0.750 0.447 0.053
S6 0.947 0.250 0.553